Diffraction record for Ce2YTe5. The PXRD pattern is theoretical, not measured: it uses a PBE-relaxed structure and CuKα.
Peak positions follow from Bragg's law for the DFT cell and can differ from measured ones.

Atomic structure:
Unit cell a=7.4955 b=7.4955 c=5.3639 alpha=90.00 beta=90.00 gamma=90.00
Space group P4/mmm (No. 123)
Unique sites:
Ce 0.0000 0.5000 0.0000 [2 per cell]
Y 0.0000 0.0000 0.5000 [1 per cell]
Te 0.0000 0.0000 0.0000 [1 per cell]
Te 0.2801 0.2801 0.5000 [4 per cell]

Main lines, sorted by position (10° ≤ 2θ ≤ 90°):
- hkl 1 1 1, 23.60°, I = 20
- hkl 2 1 0, 26.59°, I = 19
- hkl 2 0 1, 29.07°, I = 100
- hkl 0 0 2, 33.41°, I = 28
- hkl 2 2 0, 33.82°, I = 48
- hkl 2 2 2, 48.28°, I = 35
- hkl 4 0 0, 48.59°, I = 15
- hkl 2 0 3, 57.07°, I = 15
- hkl 4 2 1, 57.62°, I = 20
- hkl 4 0 2, 60.25°, I = 15


Diffraction record for Ce5Th2. The PXRD pattern is theoretical, not measured: it uses a PBE-relaxed structure and CuKα.
Peak positions follow from Bragg's law for the DFT cell and can differ from measured ones.

Atomic structure:
Unit cell a=8.8499 b=5.8230 c=8.7761 alpha=90.00 beta=119.72 gamma=90.00
Space group C2/m (No. 12)
Unique sites:
Ce 0.0000 0.0000 0.0000 [2 per cell]
Ce 0.0666 0.5000 0.6961 [4 per cell]
Ce 0.1566 0.0000 0.4227 [4 per cell]
Th 0.2189 0.5000 0.1432 [4 per cell]

Main lines, sorted by position (10° ≤ 2θ ≤ 90°):
- hkl 0 2 0, 30.71°, I = 69
- hkl 2 0 -3, 31.12°, I = 64
- hkl 3 1 -1, 34.54°, I = 98
- hkl 1 1 2, 34.64°, I = 100
- hkl 2 2 -3, 44.29°, I = 49
- hkl 1 3 2, 57.13°, I = 49
- hkl 5 1 -4, 57.52°, I = 22
- hkl 1 1 -5, 57.73°, I = 21
- hkl 4 2 1, 64.10°, I = 16
- hkl 2 4 -3, 72.84°, I = 23


Diffraction record for Ce7Th2. The PXRD pattern is theoretical, not measured: it uses a PBE-relaxed structure and CuKα.
Peak positions follow from Bragg's law for the DFT cell and can differ from measured ones.

Atomic structure:
Unit cell a=5.8975 b=5.8975 c=8.2841 alpha=90.00 beta=90.00 gamma=120.00
Space group P-31m (No. 162)
Unique sites:
Ce 0.0000 0.0000 0.0000 [1 per cell]
Ce 0.0000 0.3322 0.6637 [6 per cell]
Th 0.3333 0.6667 0.0000 [2 per cell]

Main lines, sorted by position (10° ≤ 2θ ≤ 90°):
- hkl 1 1 1, 32.22°, I = 100
- hkl 0 0 3, 32.42°, I = 32
- hkl 2 -1 2, 37.44°, I = 66
- hkl 3 0 0, 53.85°, I = 23
- hkl 1 1 4, 54.11°, I = 23
- hkl 4 -2 1, 64.16°, I = 14
- hkl 3 0 3, 64.28°, I = 27
- hkl 2 -1 5, 64.51°, I = 14
- hkl 2 2 2, 67.42°, I = 12
- hkl 4 1 1, 88.52°, I = 12


Diffraction record for CeTh5. The PXRD pattern is theoretical, not measured: it uses a PBE-relaxed structure and CuKα.
Peak positions follow from Bragg's law for the DFT cell and can differ from measured ones.

Atomic structure:
Unit cell a=3.5526 b=3.5526 c=14.8691 alpha=90.00 beta=90.00 gamma=90.00
Space group P4/mmm (No. 123)
Unique sites:
Ce 0.0000 0.0000 0.0000 [1 per cell]
Th 0.0000 0.0000 0.3295 [2 per cell]
Th 0.5000 0.5000 0.1620 [2 per cell]
Th 0.5000 0.5000 0.5000 [1 per cell]

Main lines, sorted by position (10° ≤ 2θ ≤ 90°):
- hkl 1 0 3, 30.97°, I = 100
- hkl 1 1 0, 35.74°, I = 35
- hkl 0 0 6, 36.25°, I = 17
- hkl 2 0 0, 51.44°, I = 13
- hkl 1 1 6, 51.82°, I = 24
- hkl 2 1 3, 61.27°, I = 30
- hkl 1 0 9, 61.94°, I = 14
- hkl 2 0 6, 64.55°, I = 13
- hkl 3 0 3, 84.03°, I = 6
- hkl 2 1 9, 84.63°, I = 12


Diffraction record for Ce3Th7. The PXRD pattern is theoretical, not measured: it uses a PBE-relaxed structure and CuKα.
Peak positions follow from Bragg's law for the DFT cell and can differ from measured ones.

Atomic structure:
Unit cell a=17.9004 b=4.9677 c=7.0177 alpha=90.00 beta=101.55 gamma=90.00
Space group C2/m (No. 12)
Unique sites:
Ce 0.0000 0.0000 0.0000 [2 per cell]
Ce 0.1999 0.0000 0.6020 [4 per cell]
Th 0.0000 0.0000 0.5000 [2 per cell]
Th 0.0997 0.5000 0.8007 [4 per cell]
Th 0.1011 0.5000 0.3022 [4 per cell]
Th 0.2001 0.0000 0.1008 [4 per cell]

Main lines, sorted by position (10° ≤ 2θ ≤ 90°):
- hkl 5 1 0, 31.21°, I = 100
- hkl 0 2 0, 36.15°, I = 34
- hkl 4 0 2, 36.29°, I = 17
- hkl 6 2 -2, 52.08°, I = 18
- hkl 10 0 0, 52.16°, I = 18
- hkl 5 3 0, 61.95°, I = 29
- hkl 9 1 2, 62.14°, I = 14
- hkl 10 2 0, 65.10°, I = 13
- hkl 15 1 0, 85.28°, I = 12
- hkl 16 0 -2, 87.87°, I = 9


Diffraction record for CeTh2. The PXRD pattern is theoretical, not measured: it uses a PBE-relaxed structure and CuKα.
Peak positions follow from Bragg's law for the DFT cell and can differ from measured ones.

Atomic structure:
Unit cell a=3.5143 b=3.5143 c=8.5374 alpha=90.00 beta=90.00 gamma=120.00
Space group P-3m1 (No. 164)
Unique sites:
Ce 0.0000 0.0000 0.0000 [1 per cell]
Th 0.3333 0.6667 0.6691 [2 per cell]

Main lines, sorted by position (10° ≤ 2θ ≤ 90°):
- hkl 1 0 1, 31.20°, I = 100
- hkl 0 0 3, 31.44°, I = 32
- hkl 0 1 2, 36.25°, I = 67
- hkl 1 1 0, 52.05°, I = 24
- hkl 1 0 4, 52.36°, I = 24
- hkl 0 2 1, 61.94°, I = 15
- hkl 1 1 3, 62.08°, I = 28
- hkl 0 1 5, 62.36°, I = 14
- hkl 2 0 2, 65.07°, I = 13
- hkl 2 1 1, 85.10°, I = 12


Diffraction record for Ce7Th3. The PXRD pattern is theoretical, not measured: it uses a PBE-relaxed structure and CuKα.
Peak positions follow from Bragg's law for the DFT cell and can differ from measured ones.

Atomic structure:
Unit cell a=17.4394 b=4.8289 c=6.8462 alpha=90.00 beta=101.49 gamma=90.00
Space group C2/m (No. 12)
Unique sites:
Ce 0.0000 0.0000 0.0000 [2 per cell]
Ce 0.0991 0.5000 0.7997 [4 per cell]
Ce 0.0996 0.5000 0.3007 [4 per cell]
Ce 0.2002 0.0000 0.6006 [4 per cell]
Th 0.0000 0.0000 0.5000 [2 per cell]
Th 0.1993 0.0000 0.1011 [4 per cell]

Main lines, sorted by position (10° ≤ 2θ ≤ 90°):
- hkl 5 1 0, 32.07°, I = 100
- hkl 6 0 -2, 37.11°, I = 17
- hkl 4 0 2, 37.24°, I = 34
- hkl 10 0 0, 53.59°, I = 24
- hkl 4 2 2, 53.68°, I = 12
- hkl 7 1 -4, 63.72°, I = 7
- hkl 3 1 4, 63.83°, I = 14
- hkl 9 1 2, 63.92°, I = 21
- hkl 10 2 0, 67.06°, I = 12
- hkl 3 3 4, 88.09°, I = 9


Diffraction record for CeThTi. The PXRD pattern is theoretical, not measured: it uses a PBE-relaxed structure and CuKα.
Peak positions follow from Bragg's law for the DFT cell and can differ from measured ones.

Atomic structure:
Unit cell a=6.2948 b=8.0111 c=6.1877 alpha=90.00 beta=90.00 gamma=90.00
Space group Pbam (No. 55)
Unique sites:
Ce 0.1014 0.1626 0.0000 [4 per cell]
Th 0.1456 0.8222 0.5000 [4 per cell]
Ti 0.0000 0.5000 0.2329 [4 per cell]

Main lines, sorted by position (10° ≤ 2θ ≤ 90°):
- hkl 0 2 0, 22.19°, I = 17
- hkl 0 0 2, 28.86°, I = 40
- hkl 1 2 1, 30.13°, I = 65
- hkl 2 1 1, 33.86°, I = 100
- hkl 1 1 2, 34.18°, I = 28
- hkl 1 3 0, 36.55°, I = 37
- hkl 0 2 2, 36.70°, I = 26
- hkl 1 4 1, 50.01°, I = 20
- hkl 2 1 3, 54.40°, I = 26
- hkl 4 0 2, 66.73°, I = 18


Diffraction record for CeTh2Tl9. The PXRD pattern is theoretical, not measured: it uses a PBE-relaxed structure and CuKα.
Peak positions follow from Bragg's law for the DFT cell and can differ from measured ones.

Atomic structure:
Unit cell a=4.8300 b=4.8300 c=14.5037 alpha=90.00 beta=90.00 gamma=90.00
Space group P4/mmm (No. 123)
Unique sites:
Ce 0.0000 0.0000 0.0000 [1 per cell]
Th 0.0000 0.0000 0.3341 [2 per cell]
Tl 0.0000 0.5000 0.1651 [4 per cell]
Tl 0.0000 0.5000 0.5000 [2 per cell]
Tl 0.5000 0.5000 0.0000 [1 per cell]
Tl 0.5000 0.5000 0.3320 [2 per cell]

Main lines, sorted by position (10° ≤ 2θ ≤ 90°):
- hkl 1 1 3, 32.09°, I = 100
- hkl 2 0 0, 37.22°, I = 51
- hkl 2 2 0, 53.65°, I = 36
- hkl 3 1 3, 63.90°, I = 43
- hkl 2 2 6, 67.11°, I = 12
- hkl 4 0 0, 79.32°, I = 6
- hkl 3 3 3, 88.14°, I = 19


Diffraction record for CeTh12Tl3. The PXRD pattern is theoretical, not measured: it uses a PBE-relaxed structure and CuKα.
Peak positions follow from Bragg's law for the DFT cell and can differ from measured ones.

Atomic structure:
Unit cell a=4.9491 b=4.9491 c=20.1703 alpha=90.00 beta=90.00 gamma=90.00
Space group P4/mmm (No. 123)
Unique sites:
Ce 0.0000 0.0000 0.0000 [1 per cell]
Th 0.0000 0.5000 0.1277 [4 per cell]
Th 0.0000 0.5000 0.3768 [4 per cell]
Th 0.5000 0.5000 0.0000 [1 per cell]
Th 0.5000 0.5000 0.2503 [2 per cell]
Th 0.5000 0.5000 0.5000 [1 per cell]
Tl 0.0000 0.0000 0.2532 [2 per cell]
Tl 0.0000 0.0000 0.5000 [1 per cell]

Main lines, sorted by position (10° ≤ 2θ ≤ 90°):
- hkl 1 1 4, 31.11°, I = 100
- hkl 0 0 8, 35.61°, I = 17
- hkl 2 0 0, 36.30°, I = 33
- hkl 2 0 8, 51.76°, I = 25
- hkl 2 2 0, 52.28°, I = 12
- hkl 1 1 12, 61.17°, I = 15
- hkl 3 1 4, 62.10°, I = 29
- hkl 2 2 8, 64.86°, I = 13
- hkl 3 1 12, 84.61°, I = 12
- hkl 3 3 4, 85.43°, I = 6


Diffraction record for CeTh2Tl2. The PXRD pattern is theoretical, not measured: it uses a PBE-relaxed structure and CuKα.
Peak positions follow from Bragg's law for the DFT cell and can differ from measured ones.

Atomic structure:
Unit cell a=4.7831 b=18.6569 c=6.8205 alpha=90.00 beta=90.00 gamma=90.00
Space group Cmc2_1 (No. 36)
Unique sites:
Ce 0.0000 0.0874 0.0000 [4 per cell]
Th 0.0000 0.0940 0.5199 [4 per cell]
Th 0.0000 0.2895 0.7594 [4 per cell]
Tl 0.0000 0.3252 0.2676 [4 per cell]
Tl 0.0000 0.4883 0.7571 [4 per cell]

Main lines, sorted by position (10° ≤ 2θ ≤ 90°):
- hkl 1 5 0, 30.38°, I = 88
- hkl 1 1 2, 32.59°, I = 100
- hkl 1 5 1, 33.16°, I = 15
- hkl 2 0 0, 37.61°, I = 31
- hkl 0 6 2, 39.21°, I = 27
- hkl 2 4 2, 50.56°, I = 13
- hkl 2 6 2, 55.46°, I = 20
- hkl 1 5 4, 63.01°, I = 22
- hkl 3 5 0, 63.45°, I = 11
- hkl 2 0 4, 67.46°, I = 11


Diffraction record for Ce5Th2Tl. The PXRD pattern is theoretical, not measured: it uses a PBE-relaxed structure and CuKα.
Peak positions follow from Bragg's law for the DFT cell and can differ from measured ones.

Atomic structure:
Unit cell a=6.8431 b=11.4503 c=6.7898 alpha=90.00 beta=120.24 gamma=90.00
Space group Cm (No. 8)
Unique sites:
Ce 0.0000 0.0000 0.0000 [2 per cell]
Ce 0.0105 0.5000 0.0002 [2 per cell]
Ce 0.0638 0.5000 0.6169 [2 per cell]
Ce 0.2070 0.2499 0.4019 [4 per cell]
Th 0.2056 0.2352 0.8992 [4 per cell]
Tl 0.0056 0.0000 0.5001 [2 per cell]

Main lines, sorted by position (10° ≤ 2θ ≤ 90°):
- hkl 2 0 -2, 30.24°, I = 13
- hkl 0 0 2, 30.48°, I = 19
- hkl 0 4 0, 31.25°, I = 37
- hkl 2 2 0, 34.14°, I = 100
- hkl 0 2 2, 34.36°, I = 25
- hkl 0 4 2, 44.21°, I = 13
- hkl 2 6 0, 57.49°, I = 21
- hkl 4 4 -2, 63.34°, I = 11
- hkl 2 4 -4, 63.74°, I = 11
- hkl 0 8 0, 65.19°, I = 12


Diffraction record for Ce2TmTh7. The PXRD pattern is theoretical, not measured: it uses a PBE-relaxed structure and CuKα.
Peak positions follow from Bragg's law for the DFT cell and can differ from measured ones.

Atomic structure:
Unit cell a=18.0244 b=4.9733 c=7.0666 alpha=90.00 beta=101.49 gamma=90.00
Space group C2/m (No. 12)
Unique sites:
Ce 0.1989 0.0000 0.0991 [4 per cell]
Tm 0.0000 0.0000 0.5000 [2 per cell]
Th 0.0000 0.0000 0.0000 [2 per cell]
Th 0.1005 0.5000 0.3012 [4 per cell]
Th 0.1015 0.5000 0.8010 [4 per cell]
Th 0.2000 0.0000 0.6018 [4 per cell]

Main lines, sorted by position (10° ≤ 2θ ≤ 90°):
- hkl 5 1 0, 31.05°, I = 100
- hkl 6 0 -2, 35.89°, I = 17
- hkl 4 0 2, 36.01°, I = 17
- hkl 0 2 0, 36.12°, I = 17
- hkl 6 2 -2, 51.79°, I = 25
- hkl 4 2 2, 51.92°, I = 12
- hkl 11 1 -2, 61.51°, I = 15
- hkl 9 1 2, 61.67°, I = 15
- hkl 5 3 0, 61.82°, I = 15
- hkl 2 2 -4, 64.73°, I = 13


Diffraction record for Ce3TmTh3. The PXRD pattern is theoretical, not measured: it uses a PBE-relaxed structure and CuKα.
Peak positions follow from Bragg's law for the DFT cell and can differ from measured ones.

Atomic structure:
Unit cell a=8.7334 b=8.7334 c=19.7187 alpha=90.00 beta=90.00 gamma=120.00
Space group R-3 (No. 148, hexagonal axes)
Unique sites:
Ce 0.0303 0.2368 0.2865 [18 per cell]
Tm 0.0000 0.0000 0.4217 [6 per cell]
Th 0.0414 0.2463 0.1232 [18 per cell]

Main lines, sorted by position (10° ≤ 2θ ≤ 90°):
- hkl 1 0 4, 21.52°, I = 14
- hkl 0 1 5, 25.47°, I = 11
- hkl 2 1 1, 31.63°, I = 100
- hkl 3 -2 2, 32.61°, I = 36
- hkl 2 0 5, 32.81°, I = 20
- hkl 1 0 7, 33.96°, I = 22
- hkl 2 -1 6, 34.15°, I = 44
- hkl 1 2 5, 38.91°, I = 17
- hkl 1 4 0, 55.69°, I = 25
- hkl 6 -4 1, 65.47°, I = 12